For Na2AlHgCl6, a PBE-relaxed structure gives the simulated powder diffractogram in this record (CuKα).

Cell and atoms:
```
data_Na2AlHgCl6
_space_group_name_H-M_alt 'F m -3 m'
_space_group_IT_number 225
_space_group_name_Hall '-F 4 2 3'
_cell_length_a 10.376
_cell_length_b 10.376
_cell_length_c 10.376
_cell_angle_alpha 90.00
_cell_angle_beta 90.00
_cell_angle_gamma 90.00
loop_
_atom_site_label
_atom_site_type_symbol
_atom_site_fract_x
_atom_site_fract_y
_atom_site_fract_z
Na1 Na 0.250 0.250 0.250
Al1 Al 0.000 0.000 0.000
Hg1 Hg 0.000 0.000 0.500
Cl1 Cl 0.000 0.000 0.226
```

The 10 most intense peaks (15 to 90 degrees two-theta), in order of rising 2θ:
index, 2θ (°), Rel. int.
2 0 0, 17.09, 100
2 2 0, 24.26, 57
3 1 1, 28.53, 58
4 0 0, 34.58, 61
3 3 1, 37.79, 42
4 2 0, 38.81, 45
4 2 2, 42.69, 24
4 4 0, 49.71, 39
6 0 0, 52.95, 22
7 3 1, 69.60, 19

=====

For YMg5, a PBE-relaxed structure gives the simulated powder diffractogram in this record (CuKα).

Cell and atoms:
```
data_YMg5
_space_group_name_H-M_alt 'R 3 2'
_space_group_IT_number 155
_space_group_name_Hall 'R 3 2"'
_cell_length_a 5.6113
_cell_length_b 5.6113
_cell_length_c 16.5098
_cell_angle_alpha 90.00
_cell_angle_beta 90.00
_cell_angle_gamma 120.00
loop_
_atom_site_label
_atom_site_type_symbol
_atom_site_fract_x
_atom_site_fract_y
_atom_site_fract_z
Y1 Y 0.0000 0.0000 0.0000
Mg1 Mg 0.0000 0.0000 0.3341
Mg2 Mg 0.0000 0.6676 0.5000
```

The 10 most intense peaks (15 to 90 degrees two-theta), in order of rising 2θ:
index, 2θ (°), Rel. int.
0 0 3, 16.11, 14
1 0 1, 19.04, 28
0 1 2, 21.22, 23
1 1 0, 31.90, 28
0 0 6, 32.54, 28
1 1 3, 35.93, 100
1 1 6, 46.21, 20
3 0 0, 56.84, 16
1 1 9, 60.28, 21
3 0 6, 67.04, 19